The following is a computed PXRD pattern of Sm2ScGa3Pt4. It was derived from a GGA-PBE-relaxed structure, using Cu Kα (λ = 1.5418 Å).

Peak list (10 most intense, 10 to 90 degrees two-theta, by angle)
d_spacing	I_rel	index
3.355	16.7	1 0 2
2.837	19.0	1 1 1
2.805	35.5	1 0 3
2.607	100.0	1 1 2
2.071	53.3	2 0 0
2.046	26.5	1 1 4
2.003	32.6	1 0 5
1.464	17.5	2 2 0
1.440	22.4	2 1 5
1.277	21.5	3 1 2

Atomic structure:
abc: 4.141 4.141 11.442
angles: 90.00 90.00 90.00
Positions (direct):
Sm 0.000 0.500 0.236
Sm 0.500 0.000 0.764
Sc 0.000 0.000 0.500
Ga 0.000 0.500 0.870
Ga 0.500 0.000 0.130
Ga 0.500 0.500 0.500
Pt 0.000 0.000 0.000
Pt 0.000 0.500 0.650
Pt 0.500 0.000 0.350
Pt 0.500 0.500 0.000